Record 1
Structure and computed powder diffractogram of CdAgAsO4 (the GGA-PBE geometry in Alexandria; Cu Kα).

The 8 most intense peaks (10 to 90 degrees two-theta), in order of rising 2θ:
- 19.4 deg, d 4.583, I = 37
- 22.3 deg, d 3.986, I = 24
- 31.7 deg, d 2.819, I = 36
- 32.0 deg, d 2.801, I = 100
- 39.3 deg, d 2.292, I = 14
- 45.5 deg, d 1.993, I = 20
- 56.7 deg, d 1.624, I = 35
- 57.1 deg, d 1.614, I = 22

Cell and atoms:
abc: 5.638 5.638 7.872
angles: 90.00 90.00 90.00
Positions (direct):
Cd1 0.000 0.000 0.000
Cd2 0.500 0.500 0.500
Ag1 0.000 0.000 0.500
Ag2 0.500 0.500 0.000
As1 0.000 0.500 0.750
As2 0.500 0.000 0.250
O1 0.168 0.694 0.871
O2 0.194 0.332 0.629
O3 0.306 0.168 0.129
O4 0.332 0.806 0.371
O5 0.668 0.194 0.371
O6 0.694 0.832 0.129
O7 0.806 0.668 0.629
O8 0.832 0.306 0.871

Record 2
Structure and computed powder diffractogram of K3Pm2PaS6 (the GGA-PBE geometry in Alexandria; Cu Kα).

The 8 most intense peaks (10 to 90 degrees two-theta), in order of rising 2θ:
- 11.9 deg, d 7.416, I = 80
- 25.3 deg, d 3.517, I = 30
- 26.3 deg, d 3.392, I = 38
- 29.8 deg, d 2.999, I = 100
- 37.9 deg, d 2.371, I = 20
- 41.2 deg, d 2.192, I = 37
- 44.0 deg, d 2.056, I = 34
- 45.8 deg, d 1.981, I = 18

Cell and atoms:
abc: 7.122 7.122 7.787
angles: 98.78 98.78 119.99
Positions (direct):
K1 0.000 0.000 0.000
K2 0.331 0.669 0.000
K3 0.669 0.331 0.000
Pm1 0.166 0.834 0.500
Pm2 0.834 0.166 0.500
Pa1 0.500 0.500 0.500
S1 0.108 0.431 0.293
S2 0.247 0.247 0.707
S3 0.431 0.108 0.293
S4 0.569 0.892 0.707
S5 0.753 0.753 0.293
S6 0.892 0.569 0.707

Record 3
Structure and computed powder diffractogram of OsSeBr (the GGA-PBE geometry in Alexandria; Cu Kα).

The 8 most intense peaks (10 to 90 degrees two-theta), in order of rising 2θ:
- 14.9 deg, d 5.945, I = 88
- 31.4 deg, d 2.845, I = 100
- 41.2 deg, d 2.190, I = 65
- 48.7 deg, d 1.871, I = 36
- 51.2 deg, d 1.784, I = 23
- 54.3 deg, d 1.691, I = 26
- 59.1 deg, d 1.563, I = 17
- 65.6 deg, d 1.422, I = 17

Cell and atoms:
abc: 3.741 3.741 5.945
angles: 90.00 90.00 120.00
Positions (direct):
Os1 0.000 0.000 0.000
Se1 0.667 0.333 0.185
Br1 0.333 0.667 0.734

Record 4
Structure and computed powder diffractogram of ErPu (the GGA-PBE geometry in Alexandria; Cu Kα).

The 8 most intense peaks (10 to 90 degrees two-theta), in order of rising 2θ:
- 31.8 deg, d 2.814, I = 99
- 31.9 deg, d 2.803, I = 98
- 37.0 deg, d 2.432, I = 100
- 53.2 deg, d 1.721, I = 59
- 63.3 deg, d 1.468, I = 57
- 63.6 deg, d 1.464, I = 28
- 87.2 deg, d 1.118, I = 18
- 87.4 deg, d 1.115, I = 12

Cell and atoms:
abc: 3.427 4.872 6.893
angles: 90.00 90.00 90.00
Positions (direct):
Er1 0.250 0.250 0.125
Er2 0.750 0.750 0.875
Pu1 0.250 0.250 0.619
Pu2 0.750 0.750 0.381